[1]
Calculated X-ray powder pattern of Co3Ir12Os4 for Cu Kα, 1.54184 Å, from DFT lattice parameters and positions (GGA-PBE).
No peak broadening, texture or thermal motion is included.

Cell and atoms:
abc: 9.2190 9.2190 9.2190
angles: 90.00 90.00 90.00
Space group Im-3 (No. 204)
Inequivalent atoms, fractional coordinates:
Co: 0.0000 0.0000 0.5000 [6 per cell]
Ir: 0.0000 0.2744 0.3609 [24 per cell]
Os: 0.2500 0.2500 0.2500 [8 per cell]

Largest 10 diffraction maxima, in order of rising 2θ, 10 to 90 degrees two-theta:
d_spacing  2theta  I/Imax  h k l
6.519  13.58  100  1 1 0
4.610  19.26  28  2 0 0
3.764  23.64  39  2 1 1
2.464  36.47  45  3 1 2
2.305  39.08  28  4 0 0
2.173  41.56  31  3 3 0
2.061  43.92  76  4 2 0
1.882  48.37  64  4 2 2
1.808  50.48  34  5 0 1
1.232  77.48  29  6 2 4

***

[2]
Calculated X-ray powder pattern of CoIrOs for Cu Kα, 1.54184 Å, from DFT lattice parameters and positions (GGA-PBE).
No peak broadening, texture or thermal motion is included.

Cell and atoms:
abc: 2.6837 3.7127 7.9273
angles: 90.00 90.00 90.00
Space group Imm2 (No. 44)
Inequivalent atoms, fractional coordinates:
Co: 0.0000 0.0000 0.0000 [2 per cell]
Ir: 0.0000 0.0000 0.6698 [2 per cell]
Os: 0.0000 0.0000 0.3407 [2 per cell]

Largest 10 diffraction maxima, in order of rising 2θ, 10 to 90 degrees two-theta:
d_spacing  2theta  I/Imax  h k l
3.964  22.43  17  0 0 2
3.362  26.51  28  0 1 1
2.542  35.31  14  1 0 1
2.175  41.52  100  1 1 0
2.153  41.97  97  0 1 3
1.883  48.34  64  1 0 3
1.856  49.08  31  0 2 0
1.322  71.36  50  1 2 3
1.139  85.22  26  2 1 3
1.129  86.11  25  1 1 6

***

[3]
Calculated X-ray powder pattern of CoIrOs2 for Cu Kα, 1.54184 Å, from DFT lattice parameters and positions (GGA-PBE).
No peak broadening, texture or thermal motion is included.

Cell and atoms:
abc: 3.7845 3.7845 7.5470
angles: 90.00 90.00 90.00
Space group I-4m2 (No. 119)
Inequivalent atoms, fractional coordinates:
Co: 0.0000 0.0000 0.0000 [2 per cell]
Ir: 0.0000 0.5000 0.7500 [2 per cell]
Os: 0.0000 0.0000 0.5000 [2 per cell]
Os: 0.0000 0.5000 0.2500 [2 per cell]

Largest 10 diffraction maxima, in order of rising 2θ, 10 to 90 degrees two-theta:
d_spacing  2theta  I/Imax  h k l
3.774  23.58  4  0 0 2
3.383  26.34  13  1 0 1
2.183  41.36  100  1 1 2
1.892  48.08  33  2 0 0
1.887  48.23  16  0 0 4
1.338  70.36  10  2 2 0
1.336  70.48  21  2 0 4
1.141  85.03  26  3 1 2
1.138  85.25  13  1 1 6
1.091  89.88  12  2 2 4

***

[4]
Calculated X-ray powder pattern of VCoIrOs for Cu Kα, 1.54184 Å, from DFT lattice parameters and positions (GGA-PBE).
No peak broadening, texture or thermal motion is included.

Cell and atoms:
abc: 3.6550 3.7690 3.8017
angles: 90.00 90.00 90.00
Space group Pmmm (No. 47)
Inequivalent atoms, fractional coordinates:
V: 0.0000 0.0000 0.0000 [1 per cell]
Co: 0.0000 0.5000 0.5000 [1 per cell]
Ir: 0.5000 0.0000 0.5000 [1 per cell]
Os: 0.5000 0.5000 0.0000 [1 per cell]

Largest 10 diffraction maxima, in order of rising 2θ, 10 to 90 degrees two-theta:
d_spacing  2theta  I/Imax  h k l
3.655  24.35  29  1 0 0
2.677  33.48  27  0 1 1
2.159  41.83  100  1 1 1
1.901  47.85  17  0 0 2
1.885  48.29  16  0 2 0
1.827  49.90  15  2 0 0
1.338  70.35  11  0 2 2
1.141  85.00  13  1 1 3
1.134  85.66  13  1 3 1
1.109  88.09  12  3 1 1

***

[5]
Calculated X-ray powder pattern of CoP3Ir for Cu Kα, 1.54184 Å, from DFT lattice parameters and positions (GGA-PBE).
No peak broadening, texture or thermal motion is included.

Cell and atoms:
abc: 4.7312 3.4844 4.7803
angles: 90.00 113.94 90.00
Space group P2/m (No. 10)
Inequivalent atoms, fractional coordinates:
Co: 0.0000 0.0000 0.0000 [1 per cell]
P: 0.1094 0.5000 0.3340 [2 per cell]
P: 0.5000 0.0000 0.0000 [1 per cell]
Ir: 0.5000 0.0000 0.5000 [1 per cell]

Largest 10 diffraction maxima, in order of rising 2θ, 10 to 90 degrees two-theta:
d_spacing  2theta  I/Imax  h k l
4.369  20.33  37  0 0 1
3.987  22.30  100  1 0 -1
3.484  25.56  66  0 1 0
2.713  33.01  59  1 1 0
2.624  34.18  57  1 1 -1
2.162  41.78  32  2 0 0
2.080  43.51  51  1 1 1
1.851  49.23  44  0 1 2
1.837  49.62  33  2 1 0
1.730  52.92  42  2 1 -2

***

[6]
Calculated X-ray powder pattern of PaCo2P2Ir for Cu Kα, 1.54184 Å, from DFT lattice parameters and positions (GGA-PBE).
No peak broadening, texture or thermal motion is included.

Cell and atoms:
abc: 3.8432 3.8432 6.6897
angles: 90.00 90.00 120.00
Space group P-3m1 (No. 164)
Inequivalent atoms, fractional coordinates:
Pa: 0.0000 0.0000 0.0000 [1 per cell]
Co: 0.3333 0.6667 0.7293 [2 per cell]
P: 0.3333 0.6667 0.2931 [2 per cell]
Ir: 0.0000 0.0000 0.5000 [1 per cell]

Largest 10 diffraction maxima, in order of rising 2θ, 10 to 90 degrees two-theta:
d_spacing  2theta  I/Imax  h k l
3.345  26.65  9  0 0 2
3.328  26.79  51  1 0 0
2.359  38.14  100  0 1 2
1.922  47.30  39  1 1 0
1.672  54.90  7  0 0 4
1.665  55.15  16  2 0 0
1.494  62.11  12  1 0 4
1.490  62.32  24  2 0 2
1.262  75.34  16  1 1 4
1.177  81.80  22  2 1 2

***

[7]
Calculated X-ray powder pattern of U2CoP3Ir4 for Cu Kα, 1.54184 Å, from DFT lattice parameters and positions (GGA-PBE).
No peak broadening, texture or thermal motion is included.

Cell and atoms:
abc: 4.0036 4.0036 10.0602
angles: 90.00 90.00 90.00
Space group P-4m2 (No. 115)
Inequivalent atoms, fractional coordinates:
U: 0.0000 0.5000 0.2456 [2 per cell]
Co: 0.5000 0.5000 0.0000 [1 per cell]
P: 0.0000 0.0000 0.0000 [1 per cell]
P: 0.0000 0.5000 0.6374 [2 per cell]
Ir: 0.0000 0.0000 0.5000 [1 per cell]
Ir: 0.0000 0.5000 0.8658 [2 per cell]
Ir: 0.5000 0.5000 0.5000 [1 per cell]

Largest 10 diffraction maxima, in order of rising 2θ, 10 to 90 degrees two-theta:
d_spacing  2theta  I/Imax  h k l
3.353  26.58  19  0 0 3
2.725  32.87  35  1 1 1
2.571  34.90  58  1 0 3
2.467  36.42  100  1 1 2
2.002  45.30  53  2 0 0
1.798  50.78  29  1 0 5
1.579  58.43  27  2 1 3
1.415  66.00  17  2 2 0
1.338  70.39  22  2 1 5
1.228  77.79  23  3 1 2

***

[8]
Calculated X-ray powder pattern of Co2Ir3Rh5 for Cu Kα, 1.54184 Å, from DFT lattice parameters and positions (GGA-PBE).
No peak broadening, texture or thermal motion is included.

Cell and atoms:
abc: 8.8891 2.7088 11.6531
angles: 90.00 101.43 90.00
Space group C2/m (No. 12)
Inequivalent atoms, fractional coordinates:
Co: 0.0998 0.0000 0.1989 [4 per cell]
Ir: 0.0000 0.0000 0.5000 [2 per cell]
Ir: 0.0973 0.5000 0.7035 [4 per cell]
Rh: 0.0000 0.5000 0.0000 [2 per cell]
Rh: 0.1990 0.5000 0.3943 [4 per cell]
Rh: 0.2016 0.0000 0.8982 [4 per cell]

Largest 10 diffraction maxima, in order of rising 2θ, 10 to 90 degrees two-theta:
d_spacing  2theta  I/Imax  h k l
4.368  20.33  16  2 0 -1
2.199  41.04  100  2 0 4
2.184  41.33  33  4 0 -2
1.909  47.64  43  3 1 1
1.887  48.23  21  2 0 -6
1.345  69.95  20  6 0 2
1.339  70.30  13  5 1 -5
1.153  83.93  8  2 2 4
1.151  84.09  8  4 2 -2
1.150  84.24  8  5 1 5

***

[9]
Calculated X-ray powder pattern of Co2Ir2Rh7 for Cu Kα, 1.54184 Å, from DFT lattice parameters and positions (GGA-PBE).
No peak broadening, texture or thermal motion is included.

Cell and atoms:
abc: 3.7579 7.7887 10.8082
angles: 90.00 90.00 90.00
Space group Immm (No. 71)
Inequivalent atoms, fractional coordinates:
Co: 0.0000 0.2332 0.0000 [4 per cell]
Ir: 0.0000 0.0000 0.1763 [4 per cell]
Rh: 0.0000 0.2498 0.3385 [8 per cell]
Rh: 0.0000 0.5000 0.1413 [4 per cell]
Rh: 0.0000 0.5000 0.5000 [2 per cell]

Largest 10 diffraction maxima, in order of rising 2θ, 10 to 90 degrees two-theta:
d_spacing  2theta  I/Imax  h k l
6.319  14.02  12  0 1 1
2.868  31.18  12  1 1 2
2.623  34.18  11  1 2 1
2.163  41.77  100  1 2 3
1.947  46.65  19  0 4 0
1.879  48.45  17  2 0 0
1.801  50.68  13  0 0 6
1.352  69.52  11  2 4 0
1.161  83.17  13  1 6 3
1.132  85.84  12  3 2 3

***

[10]
Calculated X-ray powder pattern of Co5Ir4Rh2 for Cu Kα, 1.54184 Å, from DFT lattice parameters and positions (GGA-PBE).
No peak broadening, texture or thermal motion is included.

Cell and atoms:
abc: 5.2236 15.2784 3.8289
angles: 90.00 90.00 90.00
Space group Pbam (No. 55)
Inequivalent atoms, fractional coordinates:
Co: 0.0000 0.0000 0.0000 [2 per cell]
Co: 0.1001 0.4190 0.0000 [4 per cell]
Co: 0.1772 0.2605 0.0000 [4 per cell]
Ir: 0.0907 0.8554 0.5000 [4 per cell]
Ir: 0.2317 0.5224 0.5000 [4 per cell]
Rh: 0.0885 0.6825 0.5000 [4 per cell]

Largest 10 diffraction maxima, in order of rising 2θ, 10 to 90 degrees two-theta:
d_spacing  2theta  I/Imax  h k l
3.829  23.23  100  0 0 1
2.172  41.58  27  1 5 1
2.156  41.90  26  2 4 0
2.136  42.30  72  2 1 1
2.120  42.64  69  0 6 1
2.076  43.59  66  2 2 1
1.986  45.69  26  2 5 0
1.965  46.21  45  1 6 1
1.914  47.49  56  0 0 2
1.879  48.46  25  2 4 1

***

[11]
Calculated X-ray powder pattern of Co4Ir12Rh3 for Cu Kα, 1.54184 Å, from DFT lattice parameters and positions (GGA-PBE).
No peak broadening, texture or thermal motion is included.

Cell and atoms:
abc: 9.0850 9.0850 9.0850
angles: 90.00 90.00 90.00
Space group Im-3 (No. 204)
Inequivalent atoms, fractional coordinates:
Co: 0.2500 0.2500 0.2500 [8 per cell]
Ir: 0.0000 0.2633 0.3583 [24 per cell]
Rh: 0.0000 0.0000 0.5000 [6 per cell]

Largest 10 diffraction maxima, in order of rising 2θ, 10 to 90 degrees two-theta:
d_spacing  2theta  I/Imax  h k l
6.424  13.78  100  1 1 0
3.709  23.99  26  2 1 1
2.873  31.13  14  3 0 1
2.428  37.02  42  3 1 2
2.271  39.68  19  4 0 0
2.141  42.20  22  3 3 0
2.031  44.60  60  4 2 0
1.854  49.13  35  4 2 2
1.782  51.28  25  5 0 1
1.214  78.84  20  6 2 4

***

[12]
Calculated X-ray powder pattern of Co3IrRh6 for Cu Kα, 1.54184 Å, from DFT lattice parameters and positions (GGA-PBE).
No peak broadening, texture or thermal motion is included.

Cell and atoms:
abc: 8.8620 8.8620 12.6485
angles: 90.00 90.00 120.00
Space group R-3 (No. 148, hexagonal axes)
Inequivalent atoms, fractional coordinates:
Co: 0.0723 0.8895 0.3365 [18 per cell]
Ir: 0.0000 0.0000 0.0000 [3 per cell]
Ir: 0.0000 0.0000 0.5000 [3 per cell]
Rh: 0.0145 0.4828 0.8179 [18 per cell]
Rh: 0.0179 0.4841 0.6016 [18 per cell]

Largest 10 diffraction maxima, in order of rising 2θ, 10 to 90 degrees two-theta:
d_spacing  2theta  I/Imax  h k l
4.881  18.18  44  0 1 2
2.637  34.00  23  3 -2 2
2.216  40.73  100  2 2 0
2.138  42.28  48  2 1 4
2.112  42.83  79  2 0 5
2.099  43.09  34  1 3 1
2.017  44.93  46  4 -1 2
1.961  46.29  16  4 -2 3
1.905  47.74  30  1 1 6
1.766  51.77  36  4 -3 4

***

[13]
Calculated X-ray powder pattern of CoIr6Rh8 for Cu Kα, 1.54184 Å, from DFT lattice parameters and positions (GGA-PBE).
No peak broadening, texture or thermal motion is included.

Cell and atoms:
abc: 7.3935 7.3935 4.6590
angles: 90.00 90.00 120.00
Space group P-3 (No. 147)
Inequivalent atoms, fractional coordinates:
Co: 0.0000 0.0000 0.0000 [1 per cell]
Ir: 0.1064 0.6306 0.7961 [6 per cell]
Rh: 0.0473 0.7733 0.2996 [6 per cell]
Rh: 0.3333 0.6667 0.2968 [2 per cell]

Largest 10 diffraction maxima, in order of rising 2θ, 10 to 90 degrees two-theta:
d_spacing  2theta  I/Imax  h k l
6.403  13.83  9  1 0 0
2.420  37.15  30  1 2 0
2.330  38.65  21  0 0 2
2.189  41.24  9  1 0 2
2.148  42.07  100  1 2 1
1.678  54.69  16  1 2 2
1.397  66.97  19  4 1 0
1.307  72.29  11  3 -1 3
1.198  80.09  12  4 1 2
1.171  82.33  11  2 4 1